(1)
The following is a theoretical powder XRD pattern of Sr2Tc2NO5. It was derived from the PBE geometry in OQMD, using Cu Kα X-rays.
Neutral-atom scattering factors, no anomalous dispersion.

Main lines, by intensity (10 to 90 degrees two-theta):
- 32.13°, intensity 100
- 31.86°, intensity 50
- 56.94°, intensity 39
- 45.67°, intensity 34
- 67.21°, intensity 19
- 57.46°, intensity 18
- 46.48°, intensity 15
- 66.58°, intensity 10
- 85.06°, intensity 10
- 75.86°, intensity 9

Structure:
Lattice parameters (Å, degrees): 3.9728 3.9728 7.8143 90.00 90.00 90.00
Atoms (fractional coordinates):
Sr (0.0000, 0.0000, 0.0000)
Sr (0.0000, 0.0000, 0.5000)
Tc (0.5000, 0.5000, 0.2363)
Tc (0.5000, 0.5000, 0.7637)
N (0.5000, 0.5000, 0.0000)
O (0.0000, 0.5000, 0.2521)
O (0.0000, 0.5000, 0.7479)
O (0.5000, 0.0000, 0.2521)
O (0.5000, 0.0000, 0.7479)
O (0.5000, 0.5000, 0.5000)


(2)
The following is a theoretical powder XRD pattern of Ho2AgO4. It was derived from the PBE geometry in OQMD, using Cu Kα X-rays.
Neutral-atom scattering factors, no anomalous dispersion.

Main lines, by intensity (10 to 90 degrees two-theta):
- 31.12°, intensity 100
- 54.46°, intensity 42
- 49.70°, intensity 39
- 32.54°, intensity 35
- 16.11°, intensity 24
- 76.82°, intensity 21
- 37.75°, intensity 20
- 26.45°, intensity 18
- 64.89°, intensity 17
- 88.93°, intensity 13

Structure:
Lattice parameters (Å, degrees): 6.7398 6.7398 6.7398 60.00 60.00 60.00
Atoms (fractional coordinates):
Ho (0.0000, 0.0000, 0.0000)
Ho (0.0000, 0.0000, 0.5000)
Ho (0.0000, 0.5000, 0.0000)
Ho (0.5000, 0.0000, 0.0000)
Ag (0.3750, 0.3750, 0.3750)
Ag (0.6250, 0.6250, 0.6250)
O (0.2069, 0.7644, 0.7644)
O (0.2356, 0.2356, 0.2356)
O (0.2356, 0.2356, 0.7931)
O (0.2356, 0.7931, 0.2356)
O (0.7644, 0.2069, 0.7644)
O (0.7644, 0.7644, 0.2069)
O (0.7644, 0.7644, 0.7644)
O (0.7931, 0.2356, 0.2356)


(3)
The following is a theoretical powder XRD pattern of TbGd2Al3AgPd2. It was derived from the PBE geometry in OQMD, using Cu Kα X-rays.
Neutral-atom scattering factors, no anomalous dispersion.

Main lines, by intensity (10 to 90 degrees two-theta):
- 36.18°, intensity 100
- 33.27°, intensity 77
- 24.04°, intensity 31
- 42.29°, intensity 28
- 27.83°, intensity 26
- 56.84°, intensity 24
- 37.10°, intensity 23
- 43.91°, intensity 23
- 68.07°, intensity 22
- 46.28°, intensity 20

Structure:
Lattice parameters (Å, degrees): 3.9233 7.4035 7.4035 119.99 90.00 90.00
Atoms (fractional coordinates):
Tb (0.0000, 0.0000, 0.0000)
Gd (0.0000, 0.1675, 0.5837)
Gd (0.0000, 0.5837, 0.1675)
Al (0.5000, 0.3310, 0.3310)
Al (0.5000, 0.5844, 0.8365)
Al (0.5000, 0.8365, 0.5844)
Ag (0.0000, 0.5843, 0.5843)
Pd (0.5000, 0.2497, 0.9175)
Pd (0.5000, 0.9175, 0.2497)


(4)
The following is a theoretical powder XRD pattern of NbH4. It was derived from the PBE geometry in OQMD, using Cu Kα X-rays.
Neutral-atom scattering factors, no anomalous dispersion.

Main lines, by intensity (10 to 90 degrees two-theta):
- 36.34°, intensity 100
- 33.68°, intensity 86
- 32.27°, intensity 61
- 34.50°, intensity 31
- 37.40°, intensity 30
- 26.85°, intensity 29
- 55.39°, intensity 28
- 11.39°, intensity 27
- 64.58°, intensity 21
- 56.65°, intensity 20

Structure:
Lattice parameters (Å, degrees): 4.8478 3.2073 7.8987 90.00 100.47 90.00
Atoms (fractional coordinates):
Nb (0.1433, 0.2500, 0.1802)
Nb (0.2691, 0.2500, 0.5938)
Nb (0.7309, 0.7500, 0.4062)
Nb (0.8567, 0.7500, 0.8198)
H (0.0699, 0.2500, 0.7906)
H (0.1323, 0.7500, 0.4561)
H (0.1543, 0.7500, 0.0182)
H (0.2139, 0.7500, 0.7341)
H (0.3723, 0.2500, 0.0049)
H (0.3968, 0.7500, 0.2224)
H (0.4562, 0.2500, 0.3962)
H (0.4909, 0.2500, 0.0940)
H (0.5091, 0.7500, 0.9060)
H (0.5438, 0.7500, 0.6038)
H (0.6032, 0.2500, 0.7776)
H (0.6277, 0.7500, 0.9951)
H (0.7861, 0.2500, 0.2659)
H (0.8457, 0.2500, 0.9818)
H (0.8677, 0.2500, 0.5439)
H (0.9301, 0.7500, 0.2094)


Which formula does entry 3 have? TbGd2Al3AgPd2


Copy entry 4 word for word.
The following is a theoretical powder XRD pattern of NbH4. It was derived from the PBE geometry in OQMD, using Cu Kα X-rays.
Neutral-atom scattering factors, no anomalous dispersion.

Main lines, by intensity (10 to 90 degrees two-theta):
- 36.34°, intensity 100
- 33.68°, intensity 86
- 32.27°, intensity 61
- 34.50°, intensity 31
- 37.40°, intensity 30
- 26.85°, intensity 29
- 55.39°, intensity 28
- 11.39°, intensity 27
- 64.58°, intensity 21
- 56.65°, intensity 20

Structure:
Lattice parameters (Å, degrees): 4.8478 3.2073 7.8987 90.00 100.47 90.00
Atoms (fractional coordinates):
Nb (0.1433, 0.2500, 0.1802)
Nb (0.2691, 0.2500, 0.5938)
Nb (0.7309, 0.7500, 0.4062)
Nb (0.8567, 0.7500, 0.8198)
H (0.0699, 0.2500, 0.7906)
H (0.1323, 0.7500, 0.4561)
H (0.1543, 0.7500, 0.0182)
H (0.2139, 0.7500, 0.7341)
H (0.3723, 0.2500, 0.0049)
H (0.3968, 0.7500, 0.2224)
H (0.4562, 0.2500, 0.3962)
H (0.4909, 0.2500, 0.0940)
H (0.5091, 0.7500, 0.9060)
H (0.5438, 0.7500, 0.6038)
H (0.6032, 0.2500, 0.7776)
H (0.6277, 0.7500, 0.9951)
H (0.7861, 0.2500, 0.2659)
H (0.8457, 0.2500, 0.9818)
H (0.8677, 0.2500, 0.5439)
H (0.9301, 0.7500, 0.2094)